This entry pairs a crystal structure of CaAs2Ru2 with its calculated powder diffraction line list. Radiation: Cu Ka. Structure: a structure optimized by DFT (PBE).
Intensities are scaled so that the largest is 100.

Top 8 peaks for 5 to 70 degrees two-theta, sorted by position:
| 2theta | Rel. int. |
| --- | --- |
| 17.03 | 87 |
| 33.42 | 56 |
| 34.65 | 100 |
| 42.86 | 82 |
| 46.28 | 81 |
| 46.43 | 26 |
| 61.84 | 28 |
| 62.22 | 26 |

Atomic structure:
Unit cell a=4.2204 b=4.2204 c=10.4137 alpha=90.00 beta=90.00 gamma=90.00
Space group I4/mmm (No. 139)
Asymmetric unit:
Ca 0.0000 0.0000 0.0000 (multiplicity 2)
As 0.0000 0.0000 0.3671 (multiplicity 4)
Ru 0.0000 0.5000 0.2500 (multiplicity 4)


This entry pairs a crystal structure of Ca3SbAs with its calculated powder diffraction line list. Radiation: Cu Ka. Structure: a structure optimized by DFT (PBE).
Intensities are scaled so that the largest is 100.

Top 8 peaks for 5 to 70 degrees two-theta, sorted by position:
| 2theta | Rel. int. |
| --- | --- |
| 22.91 | 100 |
| 28.15 | 49 |
| 32.62 | 89 |
| 40.24 | 46 |
| 46.80 | 62 |
| 52.73 | 21 |
| 58.21 | 21 |
| 63.39 | 24 |

Atomic structure:
Unit cell a=5.4900 b=5.4900 c=5.4900 alpha=90.00 beta=90.00 gamma=90.00
Space group Pm-3m (No. 221)
Asymmetric unit:
Ca 0.0000 0.0000 0.5000 (multiplicity 3)
Sb 0.5000 0.5000 0.5000 (multiplicity 1)
As 0.0000 0.0000 0.0000 (multiplicity 1)


This entry pairs a crystal structure of Ca3SbAs with its calculated powder diffraction line list. Radiation: Cu Ka. Structure: a structure optimized by DFT (PBE).
Intensities are scaled so that the largest is 100.

Top 8 peaks for 5 to 70 degrees two-theta, sorted by position:
| 2theta | Rel. int. |
| --- | --- |
| 15.41 | 36 |
| 21.86 | 100 |
| 31.11 | 91 |
| 38.34 | 47 |
| 44.57 | 65 |
| 50.17 | 22 |
| 55.35 | 22 |
| 60.22 | 25 |

Atomic structure:
Unit cell a=5.7500 b=5.7500 c=5.7500 alpha=90.00 beta=90.00 gamma=90.00
Space group Pm-3m (No. 221)
Asymmetric unit:
Ca 0.0000 0.0000 0.5000 (multiplicity 3)
Sb 0.0000 0.0000 0.0000 (multiplicity 1)
As 0.5000 0.5000 0.5000 (multiplicity 1)


This entry pairs a crystal structure of Ca11Si9As16 with its calculated powder diffraction line list. Radiation: Cu Ka. Structure: a structure optimized by DFT (PBE).
Intensities are scaled so that the largest is 100.

Top 8 peaks for 5 to 70 degrees two-theta, sorted by position:
| 2theta | Rel. int. |
| --- | --- |
| 25.02 | 16 |
| 29.89 | 100 |
| 40.70 | 10 |
| 42.51 | 20 |
| 43.09 | 21 |
| 44.70 | 14 |
| 51.34 | 10 |
| 55.22 | 5 |

Atomic structure:
Unit cell a=7.1578 b=7.2746 c=17.7346 alpha=90.01 beta=90.04 gamma=111.63
Space group P1 (No. 1)
Asymmetric unit:
Ca 0.0000 0.0000 0.0000 (multiplicity 1)
Ca 0.0013 0.9621 0.2571 (multiplicity 1)
Ca 0.4740 0.5268 0.7562 (multiplicity 1)
Ca 0.4779 0.4901 0.5025 (multiplicity 1)
Ca 0.4858 0.4835 0.0012 (multiplicity 1)
Ca 0.4901 0.0068 0.8793 (multiplicity 1)
Ca 0.4995 0.0001 0.3831 (multiplicity 1)
Ca 0.5016 0.9617 0.1253 (multiplicity 1)
Ca 0.9759 0.4898 0.8809 (multiplicity 1)
Ca 0.9859 0.4833 0.3812 (multiplicity 1)
Ca 0.9900 0.0054 0.5039 (multiplicity 1)
Si 0.0177 0.9562 0.8106 (multiplicity 1)
Si 0.0667 0.4277 0.1817 (multiplicity 1)
Si 0.4083 0.0655 0.6822 (multiplicity 1)
Si 0.4579 0.5314 0.3118 (multiplicity 1)
Si 0.5215 0.9580 0.5731 (multiplicity 1)
Si 0.5670 0.4275 0.2008 (multiplicity 1)
Si 0.9104 0.0626 0.7001 (multiplicity 1)
Si 0.9578 0.5321 0.0709 (multiplicity 1)
Si 0.9719 0.5354 0.6190 (multiplicity 1)
As 0.1998 0.7760 0.7483 (multiplicity 1)
As 0.2154 0.2589 0.6367 (multiplicity 1)
As 0.2276 0.7415 0.5101 (multiplicity 1)
As 0.2321 0.2447 0.8730 (multiplicity 1)
As 0.2383 0.7383 0.0028 (multiplicity 1)
As 0.2446 0.2431 0.3739 (multiplicity 1)
As 0.2576 0.2376 0.1379 (multiplicity 1)
As 0.2660 0.7079 0.2547 (multiplicity 1)
As 0.7166 0.7744 0.6291 (multiplicity 1)
As 0.7244 0.2587 0.7406 (multiplicity 1)
As 0.7364 0.7394 0.3805 (multiplicity 1)
As 0.7371 0.7517 0.8798 (multiplicity 1)
As 0.7415 0.2548 0.5138 (multiplicity 1)
As 0.7437 0.2437 0.0095 (multiplicity 1)
As 0.7572 0.2372 0.2450 (multiplicity 1)
As 0.7660 0.7079 0.1286 (multiplicity 1)


This entry pairs a crystal structure of CaZn2As2 with its calculated powder diffraction line list. Radiation: Cu Ka. Structure: a structure optimized by DFT (PBE).
Intensities are scaled so that the largest is 100.

Top 8 peaks for 5 to 70 degrees two-theta, sorted by position:
| 2theta | Rel. int. |
| --- | --- |
| 12.57 | 22 |
| 24.49 | 45 |
| 27.62 | 65 |
| 35.50 | 84 |
| 43.11 | 100 |
| 46.04 | 64 |
| 57.03 | 20 |
| 64.90 | 22 |

Atomic structure:
Unit cell a=4.1968 b=4.1968 c=7.0399 alpha=90.00 beta=90.00 gamma=120.00
Space group P-3m1 (No. 164)
Asymmetric unit:
Ca 0.0000 0.0000 0.0000 (multiplicity 1)
Zn 0.3333 0.6667 0.3690 (multiplicity 2)
As 0.3333 0.6667 0.7424 (multiplicity 2)